Record 1
The following is a calculated X-ray powder pattern of Ac3I2. It was derived from DFT lattice parameters and positions (GGA-PBE), using copper Kα.

Structural model:
Cell lengths 8.963, 8.963, 8.963 Å; angles 53.24, 53.24, 53.24 degrees
Atoms (fractional coordinates):
Ac1 0.104 0.750 0.396
Ac2 0.250 0.604 0.896
Ac3 0.396 0.104 0.750
Ac4 0.604 0.896 0.250
Ac5 0.750 0.396 0.104
Ac6 0.896 0.250 0.604
I1 0.171 0.171 0.171
I2 0.329 0.329 0.329
I3 0.671 0.671 0.671
I4 0.829 0.829 0.829

Peak list (6 most intense, 10° ≤ 2θ ≤ 90°, low angle first)
Position (°2θ)  d_spacing  I (rel.)
25.03  3.558  100
32.27  2.774  55
38.83  2.319  39
41.88  2.157  26
46.76  1.943  19
62.89  1.478  19

Record 2
The following is a calculated X-ray powder pattern of AcInPtI. It was derived from DFT lattice parameters and positions (GGA-PBE), using copper Kα.

Structural model:
Cell lengths 15.176, 15.176, 15.176 Å; angles 17.65, 17.65, 17.65 degrees
Atoms (fractional coordinates):
Ac1 0.076 0.076 0.076
Ac2 0.924 0.924 0.924
In1 0.311 0.311 0.311
In2 0.689 0.689 0.689
Pt1 0.373 0.373 0.373
Pt2 0.627 0.627 0.627
I1 0.209 0.209 0.209
I2 0.791 0.791 0.791

Peak list (6 most intense, 10° ≤ 2θ ≤ 90°, low angle first)
Position (°2θ)  d_spacing  I (rel.)
23.45  3.794  26
26.12  3.412  100
34.22  2.620  45
38.68  2.328  81
39.16  2.300  29
47.27  1.923  21